# 1
The following is a computed powder X-ray diffraction pattern of Ce2HfO5. It was derived from DFT lattice parameters and positions (GGA-PBE), using copper Kα.
No peak broadening, texture or thermal motion is included.

Cell and atoms:
```
data_Ce2HfO5
_cell_length_a 9.895
_cell_length_b 6.776
_cell_length_c 6.169
_cell_angle_alpha 90.00
_cell_angle_beta 90.00
_cell_angle_gamma 90.00
_space_group_name_H-M_alt 'P 1'
_space_group_IT_number 1
_space_group_name_Hall 'P 1'
loop_
_atom_site_label
_atom_site_fract_x
_atom_site_fract_y
_atom_site_fract_z
Ce1 0.173 0.002 0.029
Ce2 0.173 0.498 0.029
Ce3 0.327 0.502 0.529
Ce4 0.327 0.998 0.529
Ce5 0.673 0.002 0.471
Ce6 0.673 0.498 0.471
Ce7 0.827 0.502 0.971
Ce8 0.827 0.998 0.971
Hf1 0.004 0.250 0.555
Hf2 0.496 0.750 0.055
Hf3 0.504 0.250 0.945
Hf4 0.996 0.750 0.445
O1 0.006 0.250 0.930
O2 0.086 0.527 0.656
O3 0.086 0.973 0.656
O4 0.181 0.250 0.347
O5 0.200 0.750 0.326
O6 0.300 0.250 0.826
O7 0.319 0.750 0.847
O8 0.414 0.027 0.156
O9 0.414 0.473 0.156
O10 0.494 0.750 0.430
O11 0.506 0.250 0.570
O12 0.586 0.527 0.844
O13 0.586 0.973 0.844
O14 0.681 0.250 0.153
O15 0.700 0.750 0.174
O16 0.800 0.250 0.674
O17 0.819 0.750 0.653
O18 0.914 0.027 0.344
O19 0.914 0.473 0.344
O20 0.994 0.750 0.070
```

Largest 6 diffraction maxima, low angle first, 2θ from 15° to 90°:
d 3.085, 2θ 28.9, rel. 51
d 2.909, 2θ 30.7, rel. 100
d 2.844, 2θ 31.5, rel. 83
d 2.795, 2θ 32.0, rel. 52
d 2.071, 2θ 43.7, rel. 44
d 1.647, 2θ 55.8, rel. 40

---

# 2
The following is a computed powder X-ray diffraction pattern of CeHfPaO6. It was derived from DFT lattice parameters and positions (GGA-PBE), using copper Kα.
No peak broadening, texture or thermal motion is included.

Cell and atoms:
```
data_CeHfPaO6
_cell_length_a 5.098
_cell_length_b 5.098
_cell_length_c 10.480
_cell_angle_alpha 90.00
_cell_angle_beta 90.00
_cell_angle_gamma 90.00
_space_group_name_H-M_alt 'P 1'
_space_group_IT_number 1
_space_group_name_Hall 'P 1'
loop_
_atom_site_label
_atom_site_fract_x
_atom_site_fract_y
_atom_site_fract_z
Ce1 0.000 0.000 0.000
Ce2 0.500 0.500 0.500
Hf1 0.000 0.000 0.668
Hf2 0.500 0.500 0.168
Pa1 0.000 0.000 0.334
Pa2 0.500 0.500 0.834
O1 0.179 0.179 0.508
O2 0.194 0.194 0.819
O3 0.205 0.205 0.178
O4 0.295 0.705 0.678
O5 0.306 0.694 0.319
O6 0.321 0.679 0.008
O7 0.679 0.321 0.008
O8 0.694 0.306 0.319
O9 0.705 0.295 0.678
O10 0.795 0.795 0.178
O11 0.806 0.806 0.819
O12 0.821 0.821 0.508
```

Largest 6 diffraction maxima, low angle first, 2θ from 15° to 90°:
d 3.605, 2θ 24.7, rel. 100
d 2.882, 2θ 31.0, rel. 93
d 2.549, 2θ 35.2, rel. 29
d 1.909, 2θ 47.6, rel. 72
d 1.572, 2θ 58.7, rel. 18
d 1.528, 2θ 60.6, rel. 20

---

- Number 1 is which compound?
  Ce2HfO5